(1)
The following is a computed powder X-ray diffraction pattern of V6O5F19. It was derived from a crystal structure in the Materials Project, relaxed with GGA+U, using Cu Kα (weighted mean of Kα1 and Kα2).
No peak broadening, texture or thermal motion is included.

Structure:
Unit cell a=5.3769 b=5.6117 c=14.8070 alpha=79.63 beta=89.63 gamma=86.89
Element x y z (fractional)
V: 0.0000 0.0000 0.0000
V: 0.0042 0.5944 0.6665
V: 0.4775 0.0530 0.6721
V: 0.4815 0.7311 0.3385
V: 0.5474 0.5097 0.9979
V: 0.9733 0.2422 0.3310
O: 0.3083 0.8151 0.6922
O: 0.3103 0.4999 0.3562
O: 0.7218 0.7454 0.9763
O: 0.7460 0.0791 0.3137
O: 0.8098 0.2450 0.9783
F: 0.0912 0.9598 0.8885
F: 0.1102 0.3216 0.2213
F: 0.1190 0.6654 0.5532
F: 0.2198 0.2928 0.6916
F: 0.2314 0.9807 0.3613
F: 0.2445 0.6385 0.0262
F: 0.2822 0.1252 0.0277
F: 0.4419 0.4644 0.8894
F: 0.4459 0.1682 0.5540
F: 0.4465 0.8477 0.2198
F: 0.6037 0.0798 0.7794
F: 0.6044 0.3804 0.1144
F: 0.6120 0.7368 0.4478
F: 0.7357 0.4307 0.6424
F: 0.7911 0.5608 0.3084
F: 0.7910 0.9019 0.6447
F: 0.9275 0.8711 0.1142
F: 0.9533 0.5762 0.7856
F: 0.9560 0.2524 0.4498

Peak list (10 most intense, 2θ from 5° to 70°, sorted by position)
- 2θ 18.27, I 100
- 2θ 24.06, I 50
- 2θ 24.22, I 48
- 2θ 25.31, I 88
- 2θ 31.94, I 14
- 2θ 37.03, I 12
- 2θ 37.59, I 8
- 2θ 40.75, I 10
- 2θ 45.51, I 13
- 2θ 48.20, I 14



(2)
The following is a computed powder X-ray diffraction pattern of VOF3. It was derived from a crystal structure in the Materials Project, relaxed with GGA+U, using Cu Kα (weighted mean of Kα1 and Kα2).
No peak broadening, texture or thermal motion is included.

Structure:
Unit cell a=5.4901 b=5.3131 c=5.5942 alpha=90.00 beta=119.77 gamma=90.00
Element x y z (fractional)
V: 0.0000 0.2281 0.0000
V: 0.0000 0.7719 0.5000
O: 0.9354 0.0423 0.7394
O: 0.9354 0.9577 0.2394
F: 0.0846 0.4757 0.3997
F: 0.0846 0.5243 0.8997
F: 0.3550 0.1646 0.2441
F: 0.3550 0.8354 0.7441
F: 0.6630 0.3307 0.9276
F: 0.6630 0.6693 0.4276

Peak list (10 most intense, 2θ from 5° to 70°, sorted by position)
- 2θ 18.62, I 94
- 2θ 24.84, I 100
- 2θ 25.02, I 93
- 2θ 32.00, I 16
- 2θ 37.75, I 13
- 2θ 38.76, I 20
- 2θ 41.53, I 13
- 2θ 47.19, I 27
- 2θ 51.35, I 12
- 2θ 53.88, I 15



(3)
The following is a computed powder X-ray diffraction pattern of V2O3F2. It was derived from a crystal structure in the Materials Project, relaxed with GGA+U, using Cu Kα (weighted mean of Kα1 and Kα2).
No peak broadening, texture or thermal motion is included.

Structure:
Unit cell a=5.1016 b=5.6709 c=6.7076 alpha=103.84 beta=108.60 gamma=97.42
Element x y z (fractional)
V: 0.0863 0.2133 0.1793
V: 0.3063 0.3393 0.7763
V: 0.6937 0.6607 0.2237
V: 0.9137 0.7867 0.8207
O: 0.0279 0.4768 0.7122
O: 0.1857 0.8876 0.0758
O: 0.3673 0.3890 0.0900
O: 0.6327 0.6110 0.9100
O: 0.8143 0.1124 0.9242
O: 0.9721 0.5232 0.2878
F: 0.1759 0.9808 0.7057
F: 0.3577 0.2612 0.4858
F: 0.6423 0.7388 0.5142
F: 0.8241 0.0192 0.2943

Peak list (10 most intense, 2θ from 5° to 70°, sorted by position)
- 2θ 14.60, I 24
- 2θ 18.83, I 17
- 2θ 22.15, I 100
- 2θ 25.32, I 41
- 2θ 27.85, I 24
- 2θ 29.44, I 25
- 2θ 30.79, I 32
- 2θ 38.95, I 22
- 2θ 54.85, I 26
- 2θ 65.55, I 16



(4)
The following is a computed powder X-ray diffraction pattern of V2OF5. It was derived from a crystal structure in the Materials Project, relaxed with GGA+U, using Cu Kα (weighted mean of Kα1 and Kα2).
No peak broadening, texture or thermal motion is included.

Structure:
Unit cell a=5.2809 b=5.2809 c=9.5494 alpha=106.60 beta=106.60 gamma=59.84
Element x y z (fractional)
V: 0.1137 0.1137 0.3677
V: 0.4058 0.3499 0.1284
V: 0.6501 0.5942 0.8716
V: 0.8863 0.8863 0.6323
O: 0.7880 0.1518 0.2576
O: 0.8482 0.2120 0.7424
F: 0.0234 0.5715 0.9991
F: 0.1151 0.8849 0.5000
F: 0.1861 0.3234 0.2559
F: 0.2657 0.6346 0.7481
F: 0.3654 0.7343 0.2519
F: 0.4285 0.9766 0.0009
F: 0.5124 0.0595 0.4943
F: 0.6190 0.3810 0.0000
F: 0.6766 0.8139 0.7441
F: 0.9405 0.4876 0.5057

Peak list (10 most intense, 2θ from 5° to 70°, sorted by position)
- 2θ 23.35, I 50
- 2θ 23.57, I 100
- 2θ 32.88, I 13
- 2θ 39.63, I 9
- 2θ 47.75, I 11
- 2θ 48.22, I 21
- 2θ 53.19, I 12
- 2θ 53.50, I 14
- 2θ 53.71, I 10
- 2θ 54.97, I 12



(5)
The following is a computed powder X-ray diffraction pattern of V3O4F2. It was derived from a crystal structure in the Materials Project, relaxed with GGA+U, using Cu Kα (weighted mean of Kα1 and Kα2).
No peak broadening, texture or thermal motion is included.

Structure:
Unit cell a=4.6765 b=4.6678 c=10.3245 alpha=90.00 beta=116.53 gamma=90.00
Element x y z (fractional)
V: 0.0000 0.2226 0.0000
V: 0.0000 0.7774 0.5000
V: 0.2412 0.2723 0.3142
V: 0.2412 0.7277 0.8142
V: 0.6219 0.2520 0.6576
V: 0.6219 0.7480 0.1576
O: 0.2430 0.0564 0.4872
O: 0.2430 0.9436 0.9872
O: 0.3043 0.4471 0.1502
O: 0.3043 0.5529 0.6502
O: 0.9071 0.0580 0.1507
O: 0.9071 0.9420 0.6507
O: 0.9693 0.4326 0.8273
O: 0.9693 0.5674 0.3273
F: 0.5818 0.0424 0.8278
F: 0.5818 0.9576 0.3278
F: 0.6456 0.4638 0.4841
F: 0.6456 0.5362 0.9841

Peak list (10 most intense, 2θ from 5° to 70°, sorted by position)
- 2θ 26.99, I 100
- 2θ 34.77, I 11
- 2θ 34.94, I 39
- 2θ 39.92, I 13
- 2θ 40.13, I 11
- 2θ 52.77, I 13
- 2θ 52.90, I 14
- 2θ 53.09, I 30
- 2θ 55.64, I 17
- 2θ 67.44, I 12



(6)
The following is a computed powder X-ray diffraction pattern of V2O3F3. It was derived from a crystal structure in the Materials Project, relaxed with GGA+U, using Cu Kα (weighted mean of Kα1 and Kα2).
No peak broadening, texture or thermal motion is included.

Structure:
Unit cell a=5.1843 b=5.2089 c=13.2293 alpha=89.02 beta=89.01 gamma=60.80
Element x y z (fractional)
V: 0.0000 0.0000 0.0000
V: 0.0032 0.9792 0.5002
V: 0.3109 0.3233 0.3305
V: 0.3338 0.3572 0.8420
V: 0.6181 0.6772 0.6596
V: 0.6783 0.5830 0.1731
O: 0.0793 0.2087 0.9233
O: 0.2106 0.0681 0.4230
O: 0.2377 0.6336 0.9234
O: 0.3216 0.7279 0.5928
O: 0.3961 0.5509 0.2581
O: 0.5637 0.3973 0.7598
O: 0.7238 0.3233 0.0896
O: 0.7416 0.8740 0.5932
O: 0.9686 0.3961 0.2517
F: 0.0439 0.6429 0.4236
F: 0.3142 0.8959 0.0971
F: 0.4138 0.9611 0.7590
F: 0.5631 0.9711 0.2585
F: 0.6295 0.2343 0.4291
F: 0.6446 0.0547 0.9231
F: 0.8829 0.7399 0.0921
F: 0.8992 0.3069 0.5967
F: 0.9979 0.5426 0.7599

Peak list (10 most intense, 2θ from 5° to 70°, sorted by position)
- 2θ 23.67, I 100
- 2θ 24.21, I 51
- 2θ 33.71, I 13
- 2θ 39.92, I 10
- 2θ 48.36, I 11
- 2θ 48.52, I 11
- 2θ 49.60, I 9
- 2θ 54.30, I 10
- 2θ 55.05, I 7
- 2θ 55.16, I 8



(7)
The following is a computed powder X-ray diffraction pattern of V2OF5. It was derived from a crystal structure in the Materials Project, relaxed with GGA+U, using Cu Kα (weighted mean of Kα1 and Kα2).
No peak broadening, texture or thermal motion is included.

Structure:
Unit cell a=4.8913 b=4.8913 c=17.6289 alpha=90.09 beta=90.09 gamma=90.00
Element x y z (fractional)
V: 0.0001 0.9999 0.0000
V: 0.9999 0.0001 0.5000
V: 0.0223 0.9945 0.6808
V: 0.4992 0.5173 0.7501
V: 0.5173 0.4992 0.2501
V: 0.5222 0.5232 0.4308
V: 0.5232 0.5222 0.9308
V: 0.9945 0.0223 0.1808
O: 0.3041 0.7109 0.6914
O: 0.7109 0.3041 0.1914
O: 0.8057 0.8056 0.4414
O: 0.8056 0.8057 0.9414
F: 0.1799 0.1814 0.0913
F: 0.1814 0.1799 0.5913
F: 0.2201 0.2242 0.2550
F: 0.2242 0.2201 0.7550
F: 0.2276 0.2280 0.4374
F: 0.2280 0.2276 0.9374
F: 0.2884 0.7267 0.1874
F: 0.2966 0.7251 0.0049
F: 0.2970 0.7257 0.5048
F: 0.3309 0.6859 0.8431
F: 0.3379 0.6821 0.3413
F: 0.6821 0.3379 0.8413
F: 0.6859 0.3309 0.3431
F: 0.7251 0.2966 0.5049
F: 0.7257 0.2970 0.0048
F: 0.7267 0.2884 0.6874
F: 0.7914 0.7953 0.2548
F: 0.7953 0.7914 0.7548
F: 0.8306 0.8319 0.0931
F: 0.8319 0.8306 0.5931

Peak list (10 most intense, 2θ from 5° to 70°, sorted by position)
- 2θ 20.15, I 44
- 2θ 20.77, I 79
- 2θ 25.76, I 100
- 2θ 32.92, I 28
- 2θ 35.65, I 26
- 2θ 40.27, I 42
- 2θ 41.27, I 15
- 2θ 52.11, I 42
- 2θ 52.95, I 26
- 2θ 65.47, I 25



(8)
The following is a computed powder X-ray diffraction pattern of V3O4F2. It was derived from a crystal structure in the Materials Project, relaxed with GGA+U, using Cu Kα (weighted mean of Kα1 and Kα2).
No peak broadening, texture or thermal motion is included.

Structure:
Unit cell a=5.5789 b=5.5789 c=7.4535 alpha=108.97 beta=108.97 gamma=70.22
Element x y z (fractional)
V: 0.0000 0.0000 0.0000
V: 0.0000 0.0000 0.5000
V: 0.3179 0.3179 0.3390
V: 0.3326 0.3326 0.8294
V: 0.6674 0.6674 0.1706
V: 0.6821 0.6821 0.6610
O: 0.0287 0.6368 0.3352
O: 0.0944 0.0944 0.2951
O: 0.2953 0.7047 0.0000
O: 0.3632 0.9713 0.6648
O: 0.6368 0.0287 0.3352
O: 0.7047 0.2953 0.0000
O: 0.9056 0.9056 0.7049
O: 0.9713 0.3632 0.6648
F: 0.2305 0.2305 0.0347
F: 0.4414 0.4414 0.6356
F: 0.5586 0.5586 0.3644
F: 0.7695 0.7695 0.9653

Peak list (10 most intense, 2θ from 5° to 70°, sorted by position)
- 2θ 26.29, I 100
- 2θ 27.80, I 99
- 2θ 35.00, I 100
- 2θ 40.67, I 22
- 2θ 52.15, I 35
- 2θ 52.35, I 32
- 2θ 53.97, I 55
- 2θ 54.11, I 19
- 2θ 67.49, I 22
- 2θ 67.67, I 33



What did the eighth record say?
The following is a computed powder X-ray diffraction pattern of V3O4F2. It was derived from a crystal structure in the Materials Project, relaxed with GGA+U, using Cu Kα (weighted mean of Kα1 and Kα2).
No peak broadening, texture or thermal motion is included.

Structure:
Unit cell a=5.5789 b=5.5789 c=7.4535 alpha=108.97 beta=108.97 gamma=70.22
Element x y z (fractional)
V: 0.0000 0.0000 0.0000
V: 0.0000 0.0000 0.5000
V: 0.3179 0.3179 0.3390
V: 0.3326 0.3326 0.8294
V: 0.6674 0.6674 0.1706
V: 0.6821 0.6821 0.6610
O: 0.0287 0.6368 0.3352
O: 0.0944 0.0944 0.2951
O: 0.2953 0.7047 0.0000
O: 0.3632 0.9713 0.6648
O: 0.6368 0.0287 0.3352
O: 0.7047 0.2953 0.0000
O: 0.9056 0.9056 0.7049
O: 0.9713 0.3632 0.6648
F: 0.2305 0.2305 0.0347
F: 0.4414 0.4414 0.6356
F: 0.5586 0.5586 0.3644
F: 0.7695 0.7695 0.9653

Peak list (10 most intense, 2θ from 5° to 70°, sorted by position)
- 2θ 26.29, I 100
- 2θ 27.80, I 99
- 2θ 35.00, I 100
- 2θ 40.67, I 22
- 2θ 52.15, I 35
- 2θ 52.35, I 32
- 2θ 53.97, I 55
- 2θ 54.11, I 19
- 2θ 67.49, I 22
- 2θ 67.67, I 33



Please write out number 2 again, unchanged.
The following is a computed powder X-ray diffraction pattern of VOF3. It was derived from a crystal structure in the Materials Project, relaxed with GGA+U, using Cu Kα (weighted mean of Kα1 and Kα2).
No peak broadening, texture or thermal motion is included.

Structure:
Unit cell a=5.4901 b=5.3131 c=5.5942 alpha=90.00 beta=119.77 gamma=90.00
Element x y z (fractional)
V: 0.0000 0.2281 0.0000
V: 0.0000 0.7719 0.5000
O: 0.9354 0.0423 0.7394
O: 0.9354 0.9577 0.2394
F: 0.0846 0.4757 0.3997
F: 0.0846 0.5243 0.8997
F: 0.3550 0.1646 0.2441
F: 0.3550 0.8354 0.7441
F: 0.6630 0.3307 0.9276
F: 0.6630 0.6693 0.4276

Peak list (10 most intense, 2θ from 5° to 70°, sorted by position)
- 2θ 18.62, I 94
- 2θ 24.84, I 100
- 2θ 25.02, I 93
- 2θ 32.00, I 16
- 2θ 37.75, I 13
- 2θ 38.76, I 20
- 2θ 41.53, I 13
- 2θ 47.19, I 27
- 2θ 51.35, I 12
- 2θ 53.88, I 15